Starting from a crystal structure in Alexandria, relaxed with GGA+U, the XRD peak list of Cd4NiF10 was simulated for a wavelength of 1.5418 Å.

Crystal structure
```
data_Cd4NiF10
_chemical_formula_sum 'Cd12 Ni3 F30'
_cell_length_a 3.8452
_cell_length_b 3.8452
_cell_length_c 46.0693
_cell_angle_alpha 90.00
_cell_angle_beta 90.00
_cell_angle_gamma 120.00
_space_group_name_H-M_alt 'R -3 m'
_space_group_IT_number 166
_space_group_name_Hall '-R 3 2"'
loop_
_atom_site_label
_atom_site_type_symbol
_atom_site_fract_x
_atom_site_fract_y
_atom_site_fract_z
_atom_site_occupancy
Cd1 Cd 0.0000 0.0000 0.1042 1
Cd2 Cd 0.0000 0.0000 0.2986 1
Ni1 Ni 0.0000 0.0000 0.5000 1
F1 F 0.0000 0.0000 0.0523 1
F2 F 0.0000 0.0000 0.1544 1
F3 F 0.0000 0.0000 0.2466 1
F4 F 0.0000 0.0000 0.3506 1
F5 F 0.0000 0.0000 0.4556 1
```

Main lines, sorted by position (10° ≤ 2θ ≤ 90°):
h k l, 2θ/deg, d_spacing, intensity
0 1 5, 28.5, 3.132, 100
0 0 15, 29.1, 3.071, 30
1 0 10, 33.2, 2.699, 25
1 1 0, 47.3, 1.923, 44
0 1 20, 48.0, 1.894, 36
2 0 5, 56.1, 1.638, 14
1 1 15, 56.5, 1.630, 26
1 0 25, 57.1, 1.612, 11
1 2 5, 76.4, 1.247, 11
1 2 20, 88.5, 1.105, 11